No. 1
The following is a simulated X-ray diffraction stick pattern of LiSc2Ag2. It was derived from DFT lattice parameters and positions (PBE), using Cu Kα.
Kinematic intensities with the Lorentz-polarization factor, no thermal factor.

Crystal structure
```
data_LiSc2Ag2
_chemical_formula_sum 'Li2 Sc4 Ag4'
_space_group_name_H-M_alt 'P 4/m b m'
_space_group_IT_number 127
_space_group_name_Hall '-P 4 2ab'
_cell_length_a 7.822
_cell_length_b 7.822
_cell_length_c 3.443
_cell_angle_alpha 90.00
_cell_angle_beta 90.00
_cell_angle_gamma 90.00
loop_
_atom_site_label
_atom_site_type_symbol
_atom_site_fract_x
_atom_site_fract_y
_atom_site_fract_z
Li1 Li 0.000 0.000 0.000
Sc1 Sc 0.161 0.339 0.500
Ag1 Ag 0.135 0.635 0.000
```

Largest 10 diffraction maxima, sorted by position, 10° ≤ 2θ ≤ 90°:
2θ (°)	I (rel.)
16.0	50
25.5	23
25.9	11
36.3	28
36.6	100
46.4	16
49.4	10
49.7	13
66.1	9
70.3	18


No. 2
The following is a simulated X-ray diffraction stick pattern of Li3Sc2Ag4. It was derived from DFT lattice parameters and positions (PBE), using Cu Kα.
Kinematic intensities with the Lorentz-polarization factor, no thermal factor.

Crystal structure
```
data_Li3Sc2Ag4
_chemical_formula_sum 'Li6 Sc4 Ag8'
_space_group_name_H-M_alt 'C 1 2/m 1'
_space_group_IT_number 12
_cell_length_a 9.108
_cell_length_b 4.300
_cell_length_c 8.658
_cell_angle_alpha 90.00
_cell_angle_beta 109.84
_cell_angle_gamma 90.00
loop_
_space_group_symop_operation_xyz
'x,y,z'
'-x,-y,-z'
'-x,y,-z'
'x,-y,z'
'x+1/2,y+1/2,z'
'-x+1/2,-y+1/2,-z'
'-x+1/2,y+1/2,-z'
'x+1/2,-y+1/2,z'
loop_
_atom_site_label
_atom_site_type_symbol
_atom_site_fract_x
_atom_site_fract_y
_atom_site_fract_z
Li1 Li 0.000 0.000 0.000
Li2 Li 0.144 0.500 0.551
Sc1 Sc 0.189 0.500 0.225
Ag1 Ag 0.033 0.000 0.346
Ag2 Ag 0.153 0.500 0.881
```

Largest 10 diffraction maxima, sorted by position, 10° ≤ 2θ ≤ 90°:
2θ (°)	I (rel.)
19.9	28
24.1	18
24.5	40
27.1	69
36.2	22
37.5	100
37.8	79
42.0	36
44.1	25
45.2	23


No. 3
The following is a simulated X-ray diffraction stick pattern of Sr2LiScAg6. It was derived from DFT lattice parameters and positions (PBE), using Cu Kα.
Kinematic intensities with the Lorentz-polarization factor, no thermal factor.

Crystal structure
```
data_Sr2LiScAg6
_chemical_formula_sum 'Sr2 Li1 Sc1 Ag6'
_space_group_name_H-M_alt 'P -1'
_space_group_IT_number 2
_cell_length_a 5.910
_cell_length_b 7.103
_cell_length_c 7.296
_cell_angle_alpha 85.33
_cell_angle_beta 66.12
_cell_angle_gamma 65.51
loop_
_space_group_symop_operation_xyz
'x,y,z'
'-x,-y,-z'
loop_
_atom_site_label
_atom_site_type_symbol
_atom_site_fract_x
_atom_site_fract_y
_atom_site_fract_z
Sr1 Sr 0.050 0.201 0.200
Li1 Li 0.500 0.000 0.500
Sc1 Sc 0.500 0.500 0.000
Ag1 Ag 0.014 0.255 0.727
Ag2 Ag 0.344 0.406 0.408
Ag3 Ag 0.497 0.745 0.272
```

Largest 10 diffraction maxima, sorted by position, 10° ≤ 2θ ≤ 90°:
2θ (°)	I (rel.)
13.3	21
13.8	28
20.2	39
26.7	22
26.9	31
27.1	44
27.8	32
35.5	100
36.6	44
36.9	55


No. 4
The following is a simulated X-ray diffraction stick pattern of Li5AgSe3. It was derived from DFT lattice parameters and positions (PBE), using Cu Kα.
Kinematic intensities with the Lorentz-polarization factor, no thermal factor.

Crystal structure
```
data_Li5AgSe3
_chemical_formula_sum 'Li20 Ag4 Se12'
_space_group_name_H-M_alt 'C 1 2/c 1'
_space_group_IT_number 15
_cell_length_a 13.676
_cell_length_b 6.110
_cell_length_c 8.599
_cell_angle_alpha 90.00
_cell_angle_beta 108.40
_cell_angle_gamma 90.00
loop_
_space_group_symop_operation_xyz
'x,y,z'
'-x,-y,-z'
'-x,y,-z+1/2'
'x,-y,z+1/2'
'x+1/2,y+1/2,z'
'-x+1/2,-y+1/2,-z'
'-x+1/2,y+1/2,-z+1/2'
'x+1/2,-y+1/2,z+1/2'
loop_
_atom_site_label
_atom_site_type_symbol
_atom_site_fract_x
_atom_site_fract_y
_atom_site_fract_z
Li1 Li 0.000 0.241 0.250
Li2 Li 0.163 0.257 0.587
Li3 Li 0.165 0.247 0.077
Ag1 Ag 0.000 0.275 0.750
Se1 Se 0.000 0.000 0.000
Se2 Se 0.173 0.485 0.337
```

Largest 10 diffraction maxima, sorted by position, 10° ≤ 2θ ≤ 90°:
2θ (°)	I (rel.)
13.6	29
18.1	29
20.6	29
25.2	75
25.3	100
41.8	80
41.9	53
42.0	27
49.5	57
76.3	24


No. 5
The following is a simulated X-ray diffraction stick pattern of Li2Ag14Se9. It was derived from DFT lattice parameters and positions (PBE), using Cu Kα.
Kinematic intensities with the Lorentz-polarization factor, no thermal factor.

Crystal structure
```
data_Li2Ag14Se9
_chemical_formula_sum 'Li2 Ag14 Se9'
_space_group_name_H-M_alt 'P -3'
_space_group_IT_number 147
_cell_length_a 7.6977
_cell_length_b 7.6977
_cell_length_c 11.0292
_cell_angle_alpha 90.00
_cell_angle_beta 90.00
_cell_angle_gamma 120.00
loop_
_space_group_symop_operation_xyz
'x,y,z'
'-x,-y,-z'
'-y,x-y,z'
'y,-x+y,-z'
'-x+y,-x,z'
'x-y,x,-z'
loop_
_atom_site_label
_atom_site_type_symbol
_atom_site_fract_x
_atom_site_fract_y
_atom_site_fract_z
Li1 Li 0.3333 0.6667 0.2562
Ag1 Ag 0.0000 0.0000 0.2497
Ag2 Ag 0.0033 0.6825 0.4121
Ag3 Ag 0.0241 0.6729 0.9106
Se1 Se 0.0000 0.0000 0.0000
Se2 Se 0.0010 0.6550 0.6677
Se3 Se 0.3333 0.6667 0.0190
```

Largest 10 diffraction maxima, sorted by position, 10° ≤ 2θ ≤ 90°:
2θ (°)	I (rel.)
13.3	14
23.1	16
24.5	38
28.3	51
40.2	100
40.6	95
58.5	30
72.9	17
73.6	28
73.9	14


No. 6
The following is a simulated X-ray diffraction stick pattern of LiAg4Sn3Se8. It was derived from DFT lattice parameters and positions (PBE), using Cu Kα.
Kinematic intensities with the Lorentz-polarization factor, no thermal factor.

Crystal structure
```
data_LiAg4Sn3Se8
_chemical_formula_sum 'Li2 Ag8 Sn6 Se16'
_space_group_name_H-M_alt 'C 1 2/m 1'
_space_group_IT_number 12
_cell_length_a 13.829
_cell_length_b 7.987
_cell_length_c 8.031
_cell_angle_alpha 90.00
_cell_angle_beta 125.25
_cell_angle_gamma 90.00
loop_
_space_group_symop_operation_xyz
'x,y,z'
'-x,-y,-z'
'-x,y,-z'
'x,-y,z'
'x+1/2,y+1/2,z'
'-x+1/2,-y+1/2,-z'
'-x+1/2,y+1/2,-z'
'x+1/2,-y+1/2,z'
loop_
_atom_site_label
_atom_site_type_symbol
_atom_site_fract_x
_atom_site_fract_y
_atom_site_fract_z
Li1 Li 0.000 0.000 0.000
Ag1 Ag 0.000 0.000 0.500
Ag2 Ag 0.000 0.500 0.500
Ag3 Ag 0.250 0.250 0.500
Sn1 Sn 0.000 0.500 0.000
Sn2 Sn 0.250 0.250 0.000
Se1 Se 0.001 0.247 0.758
Se2 Se 0.248 0.000 0.746
Se3 Se 0.248 0.500 0.751
```

Largest 10 diffraction maxima, sorted by position, 10° ≤ 2θ ≤ 90°:
2θ (°)	I (rel.)
31.6	100
45.2	12
45.3	24
45.4	36
56.1	6
56.4	19
66.0	8
74.9	5
75.2	16
84.0	10


No. 7
The following is a simulated X-ray diffraction stick pattern of LiTaAg2Se4. It was derived from DFT lattice parameters and positions (PBE), using Cu Kα.
Kinematic intensities with the Lorentz-polarization factor, no thermal factor.

Crystal structure
```
data_LiTaAg2Se4
_chemical_formula_sum 'Li2 Ta2 Ag4 Se8'
_space_group_name_H-M_alt 'P m n 21'
_space_group_IT_number 31
_cell_length_a 8.403
_cell_length_b 7.267
_cell_length_c 7.036
_cell_angle_alpha 90.00
_cell_angle_beta 90.00
_cell_angle_gamma 90.00
loop_
_space_group_symop_operation_xyz
'x,y,z'
'-x+1/2,-y,z+1/2'
'-x,y,z'
'x+1/2,-y,z+1/2'
loop_
_atom_site_label
_atom_site_type_symbol
_atom_site_fract_x
_atom_site_fract_y
_atom_site_fract_z
Li1 Li 0.000 0.159 0.000
Ta1 Ta 0.000 0.826 0.501
Ag1 Ag 0.248 0.316 0.521
Se1 Se 0.000 0.136 0.372
Se2 Se 0.000 0.837 0.845
Se3 Se 0.240 0.668 0.397
```

Largest 10 diffraction maxima, sorted by position, 10° ≤ 2θ ≤ 90°:
2θ (°)	I (rel.)
16.1	37
16.4	48
24.5	100
25.3	54
27.6	81
35.5	34
43.1	88
46.1	89
50.6	45
81.1	30


No. 8
The following is a simulated X-ray diffraction stick pattern of LiAg4Te3Se8. It was derived from DFT lattice parameters and positions (PBE), using Cu Kα.
Kinematic intensities with the Lorentz-polarization factor, no thermal factor.

Crystal structure
```
data_LiAg4Te3Se8
_chemical_formula_sum 'Li2 Ag8 Te6 Se16'
_space_group_name_H-M_alt 'C 1 2/m 1'
_space_group_IT_number 12
_cell_length_a 13.858
_cell_length_b 8.127
_cell_length_c 8.038
_cell_angle_alpha 90.00
_cell_angle_beta 124.49
_cell_angle_gamma 90.00
loop_
_space_group_symop_operation_xyz
'x,y,z'
'-x,-y,-z'
'-x,y,-z'
'x,-y,z'
'x+1/2,y+1/2,z'
'-x+1/2,-y+1/2,-z'
'-x+1/2,y+1/2,-z'
'x+1/2,-y+1/2,z'
loop_
_atom_site_label
_atom_site_type_symbol
_atom_site_fract_x
_atom_site_fract_y
_atom_site_fract_z
Li1 Li 0.000 0.000 0.000
Ag1 Ag 0.000 0.000 0.500
Ag2 Ag 0.000 0.500 0.500
Ag3 Ag 0.250 0.250 0.000
Te1 Te 0.000 0.500 0.000
Te2 Te 0.250 0.250 0.500
Se1 Se 0.000 0.246 0.247
Se2 Se 0.245 0.000 0.756
Se3 Se 0.248 0.000 0.247
```

Largest 10 diffraction maxima, sorted by position, 10° ≤ 2θ ≤ 90°:
2θ (°)	I (rel.)
31.3	100
44.6	37
45.1	35
55.5	19
56.4	6
65.3	11
73.8	16
74.6	15
82.2	6
82.6	12